# LiSnAu6
Simulated X-ray diffraction stick pattern, Cu Kα. Input: a GGA-PBE-relaxed structure.

Top 6 peaks for 2θ = 5–70°, in order of rising 2θ:
d [Å]  I/Imax
6.091  17
2.422  100
2.403  99
2.140  70
1.997  29
1.460  43

Cell and atoms:
a = 6.015 Å, b = 7.990 Å, c = 12.181 Å
α = 90.00°, β = 90.00°, γ = 90.00°
Space group Fmmm (No. 69)
One atom of each set of equivalent atoms:
Li1 0.000 0.000 0.000
Sn1 0.000 0.000 0.500
Au1 0.000 0.000 0.243
Au2 0.250 0.250 0.124


# PuGePt3
Simulated X-ray diffraction stick pattern, Cu Kα. Input: a GGA-PBE-relaxed structure.

Top 6 peaks for 2θ = 5–70°, in order of rising 2θ:
d [Å]  I/Imax
2.732  38
2.705  29
2.547  100
2.456  36
2.319  30
2.273  83

Cell and atoms:
a = 5.428 Å, b = 5.612 Å, c = 6.058 Å
α = 90.00°, β = 94.61°, γ = 90.00°
Space group P2_1/m (No. 11)
One atom of each set of equivalent atoms:
Pu1 0.184 0.250 0.158
Ge1 0.081 0.750 0.373
Pt1 0.315 0.003 0.660
Pt2 0.334 0.750 0.055